# Li3VO2F2
Theoretical powder XRD pattern, Cu Kα (weighted mean of Kα1 and Kα2). Input: a PBE+U-relaxed structure.

The 6 most intense peaks (10 to 90 degrees two-theta), low angle first:
2θ = 18.34°, d = 4.837 Å, I = 100
2θ = 30.40°, d = 2.940 Å, I = 30
2θ = 35.77°, d = 2.510 Å, I = 25
2θ = 42.62°, d = 2.121 Å, I = 39
2θ = 43.53°, d = 2.079 Å, I = 72
2θ = 62.56°, d = 1.485 Å, I = 40

Crystal structure
```
Li3VO2F2
1.0
5.888 0.000 0.000
0.000 8.486 0.000
0.000 0.000 2.936
Li V O F
6 2 4 4
Direct
0.000 0.000 0.000
0.250 0.250 0.500
0.250 0.750 0.500
0.500 0.500 0.000
0.750 0.250 0.500
0.750 0.750 0.500
0.000 0.500 0.000
0.500 0.000 0.000
0.234 0.500 0.500
0.266 0.000 0.500
0.734 0.000 0.500
0.766 0.500 0.500
0.000 0.252 0.000
0.000 0.748 0.000
0.500 0.248 0.000
0.500 0.752 0.000
```